For Na3FeN2, DFT lattice parameters and positions (GGA-PBE) gives the simulated powder XRD pattern in this record (copper Kα).
Neutral-atom scattering factors, no anomalous dispersion.

```
Na3FeN2
1.0
-5.441 5.441 5.441
5.441 -5.441 5.441
5.441 5.441 -5.441
Na Fe N
24 8 16
Cartesian
4.417 -3.715 3.921 Na
7.167 1.520 -1.024 Na
3.921 4.417 -3.715 Na
6.465 -1.726 3.921 Na
9.156 1.520 1.024 Na
3.921 -1.024 3.715 Na
3.921 1.024 1.726 Na
3.715 3.921 -1.024 Na
6.465 1.726 1.520 Na
3.921 6.465 -1.726 Na
1.726 3.921 1.024 Na
4.417 3.715 1.520 Na
1.024 1.726 3.921 Na
3.715 1.520 4.417 Na
1.520 -1.024 7.167 Na
-1.024 3.715 3.921 Na
1.726 1.520 6.465 Na
1.520 4.417 3.715 Na
1.520 6.465 1.726 Na
-3.715 3.921 4.417 Na
-1.024 7.167 1.520 Na
1.520 1.024 9.156 Na
-1.726 3.921 6.465 Na
1.024 9.156 1.520 Na
4.295 1.146 -1.146 Fe
6.587 -1.146 1.146 Fe
1.146 1.146 1.146 Fe
1.146 -1.146 4.295 Fe
-1.146 4.295 1.146 Fe
1.146 6.587 -1.146 Fe
-1.146 1.146 6.587 Fe
4.295 4.295 4.295 Fe
0.000 0.000 0.000 N
5.441 0.000 0.000 N
5.441 2.720 -1.953 N
2.720 1.953 0.000 N
1.953 0.000 2.720 N
7.394 0.000 2.720 N
2.720 -1.953 5.441 N
0.000 2.720 1.953 N
0.000 5.441 0.000 N
0.000 0.000 5.441 N
5.441 2.720 3.488 N
2.720 7.394 0.000 N
-1.953 5.441 2.720 N
3.488 5.441 2.720 N
2.720 3.488 5.441 N
0.000 2.720 7.394 N
```

Top 6 peaks for 10° ≤ 2θ ≤ 90°, sorted by position:
d [Å]	2θ (°)	Rel. int.
4.443	20.0	62.4
2.908	30.7	45.0
2.720	32.9	100.0
2.134	42.4	78.1
1.924	47.3	83.2
1.765	51.8	34.0